Entry 1:
Structure and simulated powder diffractogram of Li7CrO6 (the GGA+U geometry in the Materials Project; Cu Kα (λ = 1.5418 Å)).
No peak broadening, texture or thermal motion is included.

Top 12 peaks for 2θ = 10–90°, in order of rising 2θ:
2θ (°), I (rel.)
16.52, 24.8
18.22, 63.6
18.39, 38.2
24.69, 100.0
24.82, 46.0
31.73, 17.7
32.03, 31.1
33.13, 21.1
33.39, 37.0
40.70, 16.9
54.68, 20.8
56.71, 22.6

Structure:
Cell: 5.589 5.589 10.734 Å, 90.02 90.02 60.62°
Atoms (fractional coordinates):
Li 0.007 0.993 0.500
Li 0.046 0.273 0.230
Li 0.272 0.658 0.231
Li 0.273 0.046 0.730
Li 0.281 0.660 0.834
Li 0.310 0.347 0.501
Li 0.347 0.310 0.001
Li 0.366 0.979 0.355
Li 0.658 0.272 0.731
Li 0.660 0.281 0.334
Li 0.685 0.950 0.851
Li 0.950 0.685 0.351
Li 0.979 0.366 0.855
Li 0.993 0.007 0.000
Cr 0.654 0.668 0.091
Cr 0.668 0.654 0.591
O 0.022 0.984 0.318
O 0.296 0.348 0.319
O 0.348 0.296 0.819
O 0.363 0.657 0.045
O 0.372 0.956 0.544
O 0.640 0.655 0.754
O 0.655 0.640 0.254
O 0.657 0.363 0.545
O 0.675 0.944 0.039
O 0.944 0.675 0.539
O 0.956 0.372 0.044
O 0.984 0.022 0.818



Entry 2:
Structure and simulated powder diffractogram of MgMn3VCr2P6O24 (the GGA+U geometry in the Materials Project; Cu Kα (λ = 1.5418 Å)).
No peak broadening, texture or thermal motion is included.

Top 12 peaks for 2θ = 10–90°, in order of rising 2θ:
2θ (°), I (rel.)
20.20, 100.0
20.37, 44.2
23.75, 42.9
24.02, 67.2
24.20, 37.8
24.43, 64.0
32.78, 34.2
33.04, 32.2
33.73, 57.8
35.26, 41.3
35.52, 41.7
35.62, 36.3

Structure:
Cell: 8.368 8.507 8.592 Å, 61.79 62.56 62.23°
Atoms (fractional coordinates):
Mg 0.000 0.000 0.000
Mn 0.086 0.480 0.751
Mn 0.404 0.763 0.057
Mn 0.897 0.274 0.542
V 0.592 0.975 0.260
Cr 0.253 0.613 0.893
Cr 0.744 0.125 0.406
P 0.181 0.170 0.141
P 0.296 0.079 0.635
P 0.499 0.567 0.457
P 0.702 0.377 0.963
P 0.809 0.880 0.847
P 0.998 0.674 0.345
O 0.007 0.726 0.829
O 0.066 0.652 0.489
O 0.138 0.698 0.137
O 0.160 0.139 0.530
O 0.181 0.038 0.065
O 0.187 0.369 0.000
O 0.257 0.224 0.711
O 0.266 0.890 0.802
O 0.352 0.557 0.655
O 0.357 0.078 0.204
O 0.428 0.587 0.314
O 0.502 0.516 0.946
O 0.506 0.037 0.502
O 0.577 0.724 0.398
O 0.642 0.831 0.884
O 0.657 0.363 0.483
O 0.674 0.213 0.163
O 0.783 0.944 0.001
O 0.818 0.274 0.818
O 0.823 0.466 0.961
O 0.826 0.039 0.647
O 0.847 0.886 0.310
O 0.921 0.520 0.394
O 0.985 0.192 0.299



Entry 3:
Structure and simulated powder diffractogram of Li6MnFe2O6 (the GGA+U geometry in the Materials Project; Cu Kα (λ = 1.5418 Å)).
No peak broadening, texture or thermal motion is included.

Top 12 peaks for 2θ = 10–90°, in order of rising 2θ:
2θ (°), I (rel.)
16.77, 100.0
31.92, 10.7
32.50, 16.9
35.91, 37.0
36.61, 22.5
36.96, 64.4
46.69, 16.3
47.33, 9.3
47.87, 23.9
48.02, 15.9
57.25, 22.9
58.35, 10.7

Structure:
Cell: 3.220 7.673 11.883 Å, 73.54 89.46 88.33°
Atoms (fractional coordinates):
Li 0.000 0.000 0.000
Li 0.002 0.339 0.331
Li 0.011 0.655 0.308
Li 0.014 0.316 0.977
Li 0.019 0.983 0.645
Li 0.493 0.648 0.811
Li 0.498 0.317 0.475
Li 0.505 0.981 0.144
Li 0.507 0.674 0.165
Li 0.518 0.338 0.833
Li 0.521 0.007 0.497
Li 0.996 0.672 0.663
Mn 0.008 0.328 0.654
Mn 0.508 0.328 0.154
Fe 0.004 0.662 0.987
Fe 0.009 0.993 0.320
Fe 0.506 0.661 0.485
Fe 0.509 0.994 0.823
O 0.000 0.130 0.132
O 0.013 0.526 0.176
O 0.032 0.183 0.847
O 0.034 0.854 0.509
O 0.505 0.465 0.961
O 0.505 0.801 0.294
O 0.505 0.854 0.014
O 0.507 0.523 0.681
O 0.509 0.132 0.627
O 0.511 0.191 0.347
O 0.980 0.801 0.799
O 0.983 0.472 0.461



Entry 4:
Structure and simulated powder diffractogram of SrCrSnWO6 (the GGA+U geometry in the Materials Project; Cu Kα (λ = 1.5418 Å)).
No peak broadening, texture or thermal motion is included.

Top 12 peaks for 2θ = 10–90°, in order of rising 2θ:
2θ (°), I (rel.)
19.25, 22.2
31.69, 100.0
37.34, 13.2
45.43, 31.4
49.76, 6.1
56.44, 40.0
60.21, 4.9
66.19, 19.2
69.65, 4.8
75.25, 17.5
83.94, 6.6
87.16, 2.9

Structure:
Cell: 5.647 5.647 5.647 Å, 60.00 60.00 60.00°
Atoms (fractional coordinates):
Sr 0.000 0.000 0.000
Cr 0.750 0.750 0.750
Sn 0.500 0.500 0.500
W 0.250 0.250 0.250
O 0.001 0.001 0.499
O 0.001 0.499 0.001
O 0.001 0.499 0.499
O 0.499 0.001 0.001
O 0.499 0.001 0.499
O 0.499 0.499 0.001



Entry 5:
Structure and simulated powder diffractogram of Li3Co2Ni2O8 (the GGA+U geometry in the Materials Project; Cu Kα (λ = 1.5418 Å)).
No peak broadening, texture or thermal motion is included.

Top 12 peaks for 2θ = 10–90°, in order of rising 2θ:
2θ (°), I (rel.)
18.83, 100.0
18.98, 87.5
36.40, 12.6
36.60, 23.0
36.72, 24.5
44.34, 39.4
44.57, 38.8
44.85, 38.1
64.46, 10.5
64.68, 20.9
64.81, 10.3
65.34, 20.6

Structure:
Cell: 5.713 5.713 5.755 Å, 90.34 119.65 119.39°
Atoms (fractional coordinates):
Li 0.000 0.000 0.000
Li 0.000 0.000 0.500
Li 0.500 0.500 0.000
Co 0.500 0.000 0.500
Co 0.500 0.500 0.500
Ni 0.000 0.500 0.000
Ni 0.000 0.500 0.500
O 0.027 0.746 0.259
O 0.036 0.292 0.266
O 0.476 0.736 0.710
O 0.491 0.741 0.274
O 0.509 0.259 0.726
O 0.524 0.264 0.290
O 0.964 0.708 0.734
O 0.973 0.254 0.741